(1)
Al2Si4Mo3: theoretical X-ray diffraction stick pattern (Cu Kα (λ = 1.5418 Å)), based on a crystal structure in the Materials Project, relaxed with GGA-PBE.
No peak broadening, texture or thermal motion is included.

Principal peaks in the range 2θ from 10° to 90°, by angle:
d (Å)	I (rel.)
3.472	85.4
2.565	28.2
2.222	100.0
2.194	42.1
2.043	21.4
1.919	59.9

Structure:
a = 4.722 Å, b = 4.722 Å, c = 6.582 Å
α = 90.10°, β = 90.10°, γ = 120.11°
Positions (direct):
1 Al 0.242 0.242 0.337
2 Al 0.758 0.758 0.663
3 Si 0.076 0.924 0.000
4 Si 0.078 0.411 0.667
5 Si 0.589 0.922 0.333
6 Si 0.758 0.242 0.000
7 Mo 0.416 0.584 0.000
8 Mo 0.420 0.082 0.676
9 Mo 0.918 0.580 0.324

=====

(2)
LiIrO2: theoretical X-ray diffraction stick pattern (Cu Kα (λ = 1.5418 Å)), based on a crystal structure in the Materials Project, relaxed with GGA-PBE.
No peak broadening, texture or thermal motion is included.

Principal peaks in the range 2θ from 10° to 90°, by angle:
d (Å)	I (rel.)
4.600	100.0
2.723	48.0
2.699	24.1
2.566	32.3
2.170	39.0
2.139	18.8

Structure:
a = 5.546 Å, b = 5.546 Å, c = 9.414 Å
α = 96.04°, β = 96.04°, γ = 120.27°
Positions (direct):
1 Li 0.083 0.917 0.750
2 Li 0.271 0.729 0.250
3 Li 0.409 0.591 0.750
4 Li 0.591 0.409 0.250
5 Li 0.729 0.271 0.750
6 Li 0.917 0.083 0.250
7 Ir 0.000 0.500 0.500
8 Ir 0.166 0.332 0.998
9 Ir 0.332 0.166 0.498
10 Ir 0.500 0.000 0.000
11 Ir 0.668 0.834 0.502
12 Ir 0.834 0.668 0.002
13 O 0.043 0.208 0.607
14 O 0.126 0.629 0.892
15 O 0.208 0.043 0.107
16 O 0.294 0.462 0.392
17 O 0.371 0.874 0.608
18 O 0.462 0.294 0.892
19 O 0.538 0.706 0.108
20 O 0.629 0.126 0.392
21 O 0.706 0.538 0.608
22 O 0.792 0.957 0.893
23 O 0.874 0.371 0.108
24 O 0.957 0.792 0.393